[1]
Diffraction record for TaCr3Ag2S8. The powder diffraction line list is computed, not measured: it uses a DFT-relaxed cell (GGA-PBE, Alexandria) and Cu Kα, 1.54184 Å.

Crystal structure
```
TaCr3Ag2S8
1.0
3.4729 0.0000 0.0000
0.0000 13.0900 0.0000
0.0000 0.0000 11.1756
Ta Cr Ag S
2 6 4 16
Cartesian
0.0000 1.8520 0.0000 Ta
0.0000 11.2381 5.5878 Ta
0.0000 4.9694 6.0396 Cr
0.0000 8.1206 0.4518 Cr
1.7365 2.0955 7.2365 Cr
1.7365 4.4100 2.0105 Cr
1.7365 8.6800 7.5983 Cr
1.7365 10.9945 1.6487 Cr
0.0000 5.7855 9.3754 Ag
0.0000 7.3045 3.7876 Ag
1.7365 1.3937 3.9687 Ag
1.7365 11.6963 9.5566 Ag
0.0000 1.4729 8.8107 S
0.0000 2.6360 5.7401 S
0.0000 2.7059 2.3563 S
0.0000 5.8600 1.3625 S
0.0000 7.2300 6.9503 S
0.0000 10.3841 7.9442 S
0.0000 10.4540 0.1523 S
0.0000 11.6171 3.2229 S
1.7365 0.2117 0.5874 S
1.7365 3.5982 10.9089 S
1.7365 4.4088 7.6378 S
1.7365 5.2924 4.3784 S
1.7365 7.7977 9.9662 S
1.7365 8.6812 2.0499 S
1.7365 9.4918 5.3211 S
1.7365 12.8783 6.1752 S
```

Most intense lines, 2θ = 15–90°, low angle first:
two_theta  d/Å  I/Imax  h k l
27.25  3.273  409  0 4 0
27.55  3.238  1000  0 2 3
27.75  3.215  351  1 1 1
30.23  2.956  806  1 2 1
32.96  2.717  362  1 3 0
33.95  2.640  829  1 3 1
41.19  2.192  505  1 4 2
42.08  2.147  507  1 1 4
50.04  1.823  479  1 6 1
50.34  1.813  365  1 4 4

[2]
Diffraction record for TaCr3Ag2S8. The powder diffraction line list is computed, not measured: it uses a DFT-relaxed cell (GGA-PBE, Alexandria) and Cu Kα, 1.54184 Å.

Crystal structure
```
TaCr3Ag2S8
1.0
3.4710 0.0000 0.0000
0.0000 11.0115 0.0000
0.0000 0.0000 13.1959
Ta Cr Ag S
2 6 4 16
Cartesian
0.0000 1.8015 0.0000 Ta
1.7355 9.2100 6.5979 Ta
0.0000 2.2733 6.7352 Cr
0.0000 7.4617 4.0255 Cr
0.0000 7.4960 10.5012 Cr
1.7355 3.5155 3.9033 Cr
1.7355 3.5497 10.6235 Cr
1.7355 8.7382 0.1372 Cr
0.0000 0.0382 9.4198 Ag
0.0000 5.2729 7.8837 Ag
1.7355 5.7385 1.2857 Ag
1.7355 10.9733 2.8218 Ag
0.0000 1.9516 4.3902 S
0.0000 2.7768 9.1641 S
0.0000 4.0241 12.2174 S
0.0000 5.1179 3.2847 S
0.0000 7.1815 12.8497 S
0.0000 8.5541 8.2080 S
0.0000 9.7074 4.9097 S
0.0000 10.4042 0.5129 S
1.7355 0.6073 7.1108 S
1.7355 1.3041 11.5077 S
1.7355 2.4574 1.6100 S
1.7355 3.8300 6.2518 S
1.7355 5.8936 9.8826 S
1.7355 6.9873 5.6195 S
1.7355 8.2347 2.5662 S
1.7355 9.0598 10.9881 S
```

Most intense lines, 2θ = 15–90°, low angle first:
two_theta  d/Å  I/Imax  h k l
17.45  5.081  446  0 2 1
21.02  4.227  581  0 2 2
27.81  3.208  1000  0 3 2
30.20  2.959  538  1 1 2
32.87  2.725  721  1 0 3
33.89  2.645  854  1 1 3
35.33  2.541  434  0 4 2
41.16  2.193  379  1 2 4
41.89  2.157  701  1 4 0
42.47  2.129  513  1 4 1